[1]
For Tb3CdPt12, a structure optimized by DFT (GGA-PBE) gives the calculated X-ray diffraction stick pattern in this record (Cu Kα, 1.54184 Å).
Peak positions follow from Bragg's law for the DFT cell and can differ from measured ones.

Cell: 4.1164 4.1164 16.3700 Å, 90.00 90.00 90.00°
Sites, in units of the cell vectors:
Tb: 0.0000 0.0000 0.0000
Tb: 0.0000 0.0000 0.2529
Tb: 0.0000 0.0000 0.7471
Cd: 0.0000 0.0000 0.5000
Pt: 0.0000 0.5000 0.1263
Pt: 0.0000 0.5000 0.3792
Pt: 0.0000 0.5000 0.6208
Pt: 0.0000 0.5000 0.8737
Pt: 0.5000 0.0000 0.1263
Pt: 0.5000 0.0000 0.3792
Pt: 0.5000 0.0000 0.6208
Pt: 0.5000 0.0000 0.8737
Pt: 0.5000 0.5000 0.0000
Pt: 0.5000 0.5000 0.2532
Pt: 0.5000 0.5000 0.5000
Pt: 0.5000 0.5000 0.7468

Peak list (9 most intense, 2θ = 10–80°, in order of rising 2θ)
two_theta  d/Å  I_rel
21.6  4.116  1
30.8  2.905  1
37.9  2.372  100
44.0  2.058  33
44.3  2.046  16
64.0  1.455  11
64.2  1.451  21
76.8  1.240  26
77.2  1.235  13


[2]
For Cs2SiPbS4, a structure optimized by DFT (GGA-PBE) gives the calculated X-ray diffraction stick pattern in this record (Cu Kα, 1.54184 Å).
Peak positions follow from Bragg's law for the DFT cell and can differ from measured ones.

Cell: 14.6503 13.2875 7.7875 Å, 83.74 64.37 31.90°
Sites, in units of the cell vectors:
Cs: 0.0561 0.0561 0.6939
Cs: 0.3061 0.3061 0.9439
Cs: 0.6939 0.6939 0.0561
Cs: 0.9439 0.9439 0.3061
Si: 0.3750 0.3750 0.3750
Si: 0.6250 0.6250 0.6250
Pb: 0.1250 0.1250 0.1250
Pb: 0.8750 0.8750 0.8750
S: 0.0570 0.5960 0.5096
S: 0.3374 0.5096 0.5960
S: 0.4040 0.9430 0.6626
S: 0.4904 0.6626 0.9430
S: 0.5096 0.3374 0.0570
S: 0.5960 0.0570 0.3374
S: 0.6626 0.4904 0.4040
S: 0.9430 0.4040 0.4904

Peak list (10 most intense, 2θ = 10–80°, in order of rising 2θ)
two_theta  d/Å  I_rel
13.8  6.428  56
15.0  5.900  66
22.7  3.921  61
23.4  3.800  61
24.3  3.658  100
25.4  3.511  51
29.0  3.078  95
29.5  3.031  67
33.9  2.644  50
42.8  2.112  45


[3]
For ZnNiP, a structure optimized by DFT (GGA-PBE) gives the calculated X-ray diffraction stick pattern in this record (Cu Kα, 1.54184 Å).
Peak positions follow from Bragg's law for the DFT cell and can differ from measured ones.

Cell: 5.8044 5.8653 5.6786 Å, 90.00 118.58 90.00°
Sites, in units of the cell vectors:
Zn: 0.0000 0.1443 0.0000
Zn: 0.0000 0.8557 0.5000
Zn: 0.5000 0.3557 0.5000
Zn: 0.5000 0.6443 0.0000
Ni: 0.4908 0.0275 0.1998
Ni: 0.4908 0.9725 0.6998
Ni: 0.9908 0.4725 0.6998
Ni: 0.9908 0.5275 0.1998
P: 0.3432 0.2558 0.8483
P: 0.3432 0.7442 0.3483
P: 0.8432 0.2442 0.3483
P: 0.8432 0.7558 0.8483

Peak list (10 most intense, 2θ = 10–80°, in order of rising 2θ)
two_theta  d/Å  I_rel
34.2  2.623  24
35.2  2.553  100
35.5  2.528  31
43.9  2.062  15
47.9  1.900  15
48.2  1.888  22
50.0  1.825  28
50.2  1.816  35
50.9  1.795  19
51.4  1.777  11


[4]
For Ni2Rh, a structure optimized by DFT (GGA-PBE) gives the calculated X-ray diffraction stick pattern in this record (Cu Kα, 1.54184 Å).
Peak positions follow from Bragg's law for the DFT cell and can differ from measured ones.

Cell: 4.4735 7.7235 4.5095 Å, 90.00 109.85 90.00°
Sites, in units of the cell vectors:
Ni: 0.0000 0.0817 0.2500
Ni: 0.0000 0.2481 0.7500
Ni: 0.0000 0.7519 0.2500
Ni: 0.0000 0.9183 0.7500
Ni: 0.5000 0.2519 0.2500
Ni: 0.5000 0.4183 0.7500
Ni: 0.5000 0.5817 0.2500
Ni: 0.5000 0.7481 0.7500
Rh: 0.0000 0.4118 0.2500
Rh: 0.0000 0.5882 0.7500
Rh: 0.5000 0.0882 0.7500
Rh: 0.5000 0.9118 0.2500

Peak list (10 most intense, 2θ = 10–80°, in order of rising 2θ)
two_theta  d/Å  I_rel
24.1  3.695  9
31.3  2.856  7
42.6  2.121  51
42.9  2.109  100
43.0  2.104  50
49.6  1.838  32
50.0  1.823  63
72.9  1.298  19
73.4  1.290  28
73.6  1.287  9


[5]
For Ba4Cr5, a structure optimized by DFT (GGA-PBE) gives the calculated X-ray diffraction stick pattern in this record (Cu Kα, 1.54184 Å).
Peak positions follow from Bragg's law for the DFT cell and can differ from measured ones.

Cell: 9.0210 9.0210 9.0210 Å, 93.24 93.24 152.49°
Sites, in units of the cell vectors:
Ba: 0.0000 0.2760 0.2760
Ba: 0.0000 0.7240 0.7240
Ba: 0.2760 0.0000 0.2760
Ba: 0.7240 0.0000 0.7240
Cr: 0.0000 0.0000 0.0000
Cr: 0.4148 0.4148 0.8296
Cr: 0.4148 0.5852 0.0000
Cr: 0.5852 0.4148 0.0000
Cr: 0.5852 0.5852 0.1704

Peak list (10 most intense, 2θ = 10–80°, in order of rising 2θ)
two_theta  d/Å  I_rel
10.1  8.762  40
14.3  6.196  31
20.3  4.381  67
26.3  3.393  100
28.8  3.098  31
30.0  2.976  67
36.5  2.462  40
42.1  2.146  71
56.2  1.636  29
64.4  1.447  28


[6]
For Nd6CBr3N2, a structure optimized by DFT (GGA-PBE) gives the calculated X-ray diffraction stick pattern in this record (Cu Kα, 1.54184 Å).
Peak positions follow from Bragg's law for the DFT cell and can differ from measured ones.

Cell: 6.5116 6.5116 7.6905 Å, 98.12 98.12 120.00°
Sites, in units of the cell vectors:
Nd: 0.1043 0.4401 0.8203
Nd: 0.2240 0.2240 0.1794
Nd: 0.4401 0.1043 0.8203
Nd: 0.5599 0.8957 0.1797
Nd: 0.7760 0.7760 0.8206
Nd: 0.8957 0.5599 0.1797
C: 0.5000 0.5000 0.0000
Br: 0.0000 0.0000 0.5000
Br: 0.3350 0.6650 0.5000
Br: 0.6650 0.3350 0.5000
N: 0.1669 0.8331 0.0000
N: 0.8331 0.1669 0.0000

Peak list (10 most intense, 2θ = 10–80°, in order of rising 2θ)
two_theta  d/Å  I_rel
27.7  3.221  16
28.6  3.123  38
31.9  2.806  100
34.2  2.623  51
36.5  2.459  25
42.9  2.108  16
48.4  1.880  40
59.2  1.562  17
61.5  1.509  16
62.2  1.493  32


[7]
For In2BiSe, a structure optimized by DFT (GGA-PBE) gives the calculated X-ray diffraction stick pattern in this record (Cu Kα, 1.54184 Å).
Peak positions follow from Bragg's law for the DFT cell and can differ from measured ones.

Cell: 6.1410 6.1419 12.1803 Å, 90.00 90.00 90.00°
Sites, in units of the cell vectors:
In: 0.0000 0.2484 0.1382
In: 0.0000 0.2501 0.6114
In: 0.0000 0.7499 0.3886
In: 0.0000 0.7516 0.8618
In: 0.5000 0.2484 0.3618
In: 0.5000 0.2501 0.8886
In: 0.5000 0.7499 0.1114
In: 0.5000 0.7516 0.6382
Bi: 0.0000 0.2515 0.8748
Bi: 0.0000 0.7485 0.1252
Bi: 0.5000 0.2515 0.6252
Bi: 0.5000 0.7485 0.3748
Se: 0.0000 0.2491 0.3750
Se: 0.0000 0.7509 0.6250
Se: 0.5000 0.2491 0.1250
Se: 0.5000 0.7509 0.8750

Peak list (10 most intense, 2θ = 10–80°, in order of rising 2θ)
two_theta  d/Å  I_rel
16.2  5.484  15
26.3  3.387  16
29.1  3.071  100
29.3  3.045  46
41.6  2.171  38
41.8  2.162  71
51.7  1.768  38
68.3  1.373  17
68.4  1.371  16
76.0  1.252  25


[8]
For Er3CoNi, a structure optimized by DFT (GGA-PBE) gives the calculated X-ray diffraction stick pattern in this record (Cu Kα, 1.54184 Å).
Peak positions follow from Bragg's law for the DFT cell and can differ from measured ones.

Cell: 6.7074 6.7074 9.4476 Å, 97.66 97.66 31.72°
Sites, in units of the cell vectors:
Er: 0.0826 0.0826 0.3715
Er: 0.3449 0.3449 0.2891
Er: 0.3674 0.3674 0.9198
Er: 0.6326 0.6326 0.0802
Er: 0.6551 0.6551 0.7109
Er: 0.9174 0.9174 0.6285
Co: 0.2674 0.2674 0.5772
Co: 0.7326 0.7326 0.4228
Ni: 0.0418 0.0418 0.8831
Ni: 0.9582 0.9582 0.1169

Peak list (10 most intense, 2θ = 10–80°, in order of rising 2θ)
two_theta  d/Å  I_rel
27.4  3.257  52
27.9  3.195  41
30.1  2.970  57
32.2  2.779  100
32.4  2.764  41
33.7  2.661  45
36.1  2.490  98
39.2  2.300  45
45.4  1.998  36
49.7  1.833  44


Please write out number 3 again, unchanged.
For ZnNiP, a structure optimized by DFT (GGA-PBE) gives the calculated X-ray diffraction stick pattern in this record (Cu Kα, 1.54184 Å).
Peak positions follow from Bragg's law for the DFT cell and can differ from measured ones.

Cell: 5.8044 5.8653 5.6786 Å, 90.00 118.58 90.00°
Sites, in units of the cell vectors:
Zn: 0.0000 0.1443 0.0000
Zn: 0.0000 0.8557 0.5000
Zn: 0.5000 0.3557 0.5000
Zn: 0.5000 0.6443 0.0000
Ni: 0.4908 0.0275 0.1998
Ni: 0.4908 0.9725 0.6998
Ni: 0.9908 0.4725 0.6998
Ni: 0.9908 0.5275 0.1998
P: 0.3432 0.2558 0.8483
P: 0.3432 0.7442 0.3483
P: 0.8432 0.2442 0.3483
P: 0.8432 0.7558 0.8483

Peak list (10 most intense, 2θ = 10–80°, in order of rising 2θ)
two_theta  d/Å  I_rel
34.2  2.623  24
35.2  2.553  100
35.5  2.528  31
43.9  2.062  15
47.9  1.900  15
48.2  1.888  22
50.0  1.825  28
50.2  1.816  35
50.9  1.795  19
51.4  1.777  11


Number 6 is which compound?
Nd6CBr3N2


What is the formula in the seventh record?
In2BiSe